No. 1
The following is a simulated XRD peak list of GdDyCo2Si2. It was derived from a structure optimized by DFT (PBE), using Cu Kα X-rays.
Peak positions follow from Bragg's law for the DFT cell and can differ from measured ones.

Structural model:
a b c (Å): 3.958 3.958 6.736
angles (deg): 90.00 90.00 90.00
Atoms (fractional coordinates):
Gd  0.000  0.000  0.000
Dy  0.500  0.500  0.633
Co  0.000  0.500  0.320
Co  0.500  0.000  0.320
Si  0.000  0.000  0.504
Si  0.500  0.500  0.138

Top 6 peaks for 2θ = 10–90°, in order of rising 2θ:
d = 3.413 Å, 26.1 deg, intensity 100.0
d = 2.799 Å, 32.0 deg, intensity 33.4
d = 2.585 Å, 34.7 deg, intensity 46.1
d = 2.565 Å, 35.0 deg, intensity 65.5
d = 2.153 Å, 42.0 deg, intensity 71.9
d = 1.979 Å, 45.8 deg, intensity 49.0


No. 2
The following is a simulated XRD peak list of Sm3GdDy2CoTe2. It was derived from a structure optimized by DFT (PBE), using Cu Kα X-rays.
Peak positions follow from Bragg's law for the DFT cell and can differ from measured ones.

Structural model:
a b c (Å): 3.977 8.452 8.452
angles (deg): 120.00 90.00 90.00
Atoms (fractional coordinates):
Sm  0.000  0.000  0.000
Sm  0.000  0.192  0.596
Sm  0.000  0.596  0.192
Gd  0.500  0.363  0.363
Dy  0.500  0.596  0.829
Dy  0.500  0.829  0.596
Co  0.000  0.597  0.597
Te  0.500  0.263  0.929
Te  0.500  0.929  0.263

Top 6 peaks for 2θ = 10–90°, in order of rising 2θ:
d = 2.896 Å, 30.9 deg, intensity 100.0
d = 2.767 Å, 32.4 deg, intensity 79.7
d = 2.693 Å, 33.3 deg, intensity 69.7
d = 2.271 Å, 39.7 deg, intensity 33.1
d = 1.615 Å, 57.0 deg, intensity 32.0
d = 1.547 Å, 59.8 deg, intensity 26.8


No. 3
The following is a simulated XRD peak list of Dy3Co4Ge13. It was derived from a structure optimized by DFT (PBE), using Cu Kα X-rays.
Peak positions follow from Bragg's law for the DFT cell and can differ from measured ones.

Structural model:
a b c (Å): 8.776 8.776 8.776
angles (deg): 90.00 90.00 90.00
Atoms (fractional coordinates):
Dy  0.000  0.250  0.500
Dy  0.000  0.750  0.500
Dy  0.250  0.500  0.000
Dy  0.500  0.000  0.250
Dy  0.500  0.000  0.750
Dy  0.750  0.500  0.000
Co  0.250  0.250  0.250
Co  0.250  0.250  0.750
Co  0.250  0.750  0.250
Co  0.250  0.750  0.750
Co  0.750  0.250  0.250
Co  0.750  0.250  0.750
Co  0.750  0.750  0.250
Co  0.750  0.750  0.750
Ge  0.000  0.000  0.000
Ge  0.000  0.304  0.153
Ge  0.000  0.304  0.847
Ge  0.000  0.696  0.153
Ge  0.000  0.696  0.847
Ge  0.153  0.000  0.304
Ge  0.153  0.000  0.696
Ge  0.196  0.500  0.347
Ge  0.196  0.500  0.653
Ge  0.304  0.153  0.000
Ge  0.304  0.847  0.000
Ge  0.347  0.196  0.500
Ge  0.347  0.804  0.500
Ge  0.500  0.347  0.196
Ge  0.500  0.347  0.804
Ge  0.500  0.500  0.500
Ge  0.500  0.653  0.196
Ge  0.500  0.653  0.804
Ge  0.653  0.196  0.500
Ge  0.653  0.804  0.500
Ge  0.696  0.153  0.000
Ge  0.696  0.847  0.000
Ge  0.804  0.500  0.347
Ge  0.804  0.500  0.653
Ge  0.847  0.000  0.304
Ge  0.847  0.000  0.696

Top 6 peaks for 2θ = 10–90°, in order of rising 2θ:
d = 3.925 Å, 22.7 deg, intensity 13.9
d = 2.434 Å, 36.9 deg, intensity 100.0
d = 2.346 Å, 38.4 deg, intensity 38.3
d = 2.194 Å, 41.1 deg, intensity 24.3
d = 1.424 Å, 65.6 deg, intensity 14.5
d = 1.323 Å, 71.3 deg, intensity 14.1


No. 4
The following is a simulated XRD peak list of Dy7InCo4Ge12. It was derived from a structure optimized by DFT (PBE), using Cu Kα X-rays.
Peak positions follow from Bragg's law for the DFT cell and can differ from measured ones.

Structural model:
a b c (Å): 10.380 10.380 4.193
angles (deg): 90.00 90.00 90.00
Atoms (fractional coordinates):
Dy  0.000  0.000  0.000
Dy  0.000  0.500  0.500
Dy  0.323  0.326  0.500
Dy  0.326  0.677  0.500
Dy  0.500  0.000  0.500
Dy  0.674  0.323  0.500
Dy  0.677  0.674  0.500
In  0.500  0.500  0.000
Co  0.118  0.721  0.000
Co  0.279  0.118  0.000
Co  0.721  0.882  0.000
Co  0.882  0.279  0.000
Ge  0.065  0.805  0.500
Ge  0.113  0.285  0.000
Ge  0.195  0.065  0.500
Ge  0.213  0.513  0.000
Ge  0.285  0.887  0.000
Ge  0.487  0.213  0.000
Ge  0.513  0.787  0.000
Ge  0.715  0.113  0.000
Ge  0.787  0.487  0.000
Ge  0.805  0.935  0.500
Ge  0.887  0.715  0.000
Ge  0.935  0.195  0.500

Top 6 peaks for 2θ = 10–90°, in order of rising 2θ:
d = 2.669 Å, 33.6 deg, intensity 20.5
d = 2.585 Å, 34.7 deg, intensity 100.0
d = 2.373 Å, 37.9 deg, intensity 29.8
d = 2.321 Å, 38.8 deg, intensity 25.2
d = 2.097 Å, 43.1 deg, intensity 26.0
d = 1.639 Å, 56.1 deg, intensity 14.4


No. 5
The following is a simulated XRD peak list of Dy2Tm2InCo2Ge4. It was derived from a structure optimized by DFT (PBE), using Cu Kα X-rays.
Peak positions follow from Bragg's law for the DFT cell and can differ from measured ones.

Structural model:
a b c (Å): 7.990 7.990 6.973
angles (deg): 107.48 107.48 30.60
Atoms (fractional coordinates):
Dy  0.089  0.089  0.385
Dy  0.911  0.911  0.615
Tm  0.156  0.156  0.941
Tm  0.844  0.844  0.059
In  0.500  0.500  0.000
Co  0.279  0.279  0.371
Co  0.721  0.721  0.629
Ge  0.294  0.294  0.732
Ge  0.431  0.431  0.339
Ge  0.569  0.569  0.661
Ge  0.706  0.706  0.268

Top 6 peaks for 2θ = 10–90°, in order of rising 2θ:
d = 2.671 Å, 33.6 deg, intensity 85.7
d = 2.575 Å, 34.8 deg, intensity 100.0
d = 2.564 Å, 35.0 deg, intensity 37.1
d = 2.473 Å, 36.3 deg, intensity 32.5
d = 2.463 Å, 36.5 deg, intensity 51.2
d = 2.108 Å, 42.9 deg, intensity 53.3


No. 6
The following is a simulated XRD peak list of NdDyCo2Ge4. It was derived from a structure optimized by DFT (PBE), using Cu Kα X-rays.
Peak positions follow from Bragg's law for the DFT cell and can differ from measured ones.

Structural model:
a b c (Å): 4.189 8.602 8.602
angles (deg): 28.18 90.00 90.00
Atoms (fractional coordinates):
Nd  0.000  0.000  0.000
Dy  0.500  0.782  0.782
Co  0.000  0.211  0.211
Co  0.500  0.573  0.573
Ge  0.000  0.346  0.346
Ge  0.000  0.642  0.642
Ge  0.500  0.143  0.143
Ge  0.500  0.436  0.436

Top 6 peaks for 2θ = 10–90°, in order of rising 2θ:
d = 2.917 Å, 30.7 deg, intensity 15.4
d = 2.613 Å, 34.3 deg, intensity 100.0
d = 2.317 Å, 38.9 deg, intensity 22.2
d = 2.095 Å, 43.2 deg, intensity 41.2
d = 1.481 Å, 62.7 deg, intensity 13.3
d = 1.289 Å, 73.5 deg, intensity 18.7


No. 7
The following is a simulated XRD peak list of PrDyCo2Ge4. It was derived from a structure optimized by DFT (PBE), using Cu Kα X-rays.
Peak positions follow from Bragg's law for the DFT cell and can differ from measured ones.

Structural model:
a b c (Å): 4.190 8.594 8.594
angles (deg): 28.22 90.00 90.00
Atoms (fractional coordinates):
Pr  0.000  0.000  0.000
Dy  0.500  0.782  0.782
Co  0.000  0.211  0.211
Co  0.500  0.573  0.573
Ge  0.000  0.346  0.346
Ge  0.000  0.642  0.642
Ge  0.500  0.143  0.143
Ge  0.500  0.436  0.436

Top 6 peaks for 2θ = 10–90°, in order of rising 2θ:
d = 2.917 Å, 30.6 deg, intensity 15.4
d = 2.613 Å, 34.3 deg, intensity 100.0
d = 2.316 Å, 38.9 deg, intensity 22.3
d = 2.095 Å, 43.2 deg, intensity 41.4
d = 1.481 Å, 62.7 deg, intensity 13.3
d = 1.289 Å, 73.5 deg, intensity 18.7


No. 8
The following is a simulated XRD peak list of DyCo2SiGe. It was derived from a structure optimized by DFT (PBE), using Cu Kα X-rays.
Peak positions follow from Bragg's law for the DFT cell and can differ from measured ones.

Structural model:
a b c (Å): 5.674 5.674 5.674
angles (deg): 139.59 139.59 58.48
Atoms (fractional coordinates):
Dy  0.000  0.000  0.000
Co  0.256  0.756  0.500
Co  0.756  0.256  0.500
Si  0.370  0.370  0.000
Ge  0.625  0.625  0.000

Top 6 peaks for 2θ = 10–90°, in order of rising 2θ:
d = 3.645 Å, 24.4 deg, intensity 30.2
d = 2.525 Å, 35.6 deg, intensity 77.8
d = 2.419 Å, 37.2 deg, intensity 100.0
d = 1.960 Å, 46.3 deg, intensity 48.2
d = 1.768 Å, 51.7 deg, intensity 25.0
d = 1.548 Å, 59.7 deg, intensity 34.4